# Cu3Ag2
Calculated XRD peak list, a wavelength of 1.5418 Å. Input: a crystal structure in OQMD, relaxed with GGA-PBE.
Kinematic intensities with the Lorentz-polarization factor, no thermal factor.

The 10 most intense peaks (2θ from 10° to 90°), in order of falling intensity:
40.39 deg, rel. 100; 46.90 deg, rel. 65; 40.96 deg, rel. 50; 40.52 deg, rel. 49; 47.76 deg, rel. 28; 68.87 deg, rel. 17; 69.49 deg, rel. 17; 82.55 deg, rel. 12; 82.26 deg, rel. 11; 83.39 deg, rel. 11

Crystal structure
Cell lengths 8.9742, 2.7569, 6.6796 Å; angles 90.00, 120.13, 90.00 degrees
Space group C2/m (No. 12)
Asymmetric unit:
Cu 0.0000 0.0000 0.0000
Cu 0.2131 0.0000 0.8223
Ag 0.0922 0.5000 0.3881

# Cu3Ag7
Calculated XRD peak list, a wavelength of 1.5418 Å. Input: a crystal structure in OQMD, relaxed with GGA-PBE.
Kinematic intensities with the Lorentz-polarization factor, no thermal factor.

The 10 most intense peaks (2θ from 10° to 90°), in order of falling intensity:
39.19 deg, rel. 100; 44.21 deg, rel. 72; 38.52 deg, rel. 52; 38.62 deg, rel. 50; 47.14 deg, rel. 24; 66.54 deg, rel. 16; 66.68 deg, rel. 15; 78.32 deg, rel. 12; 77.10 deg, rel. 11; 78.39 deg, rel. 11

Crystal structure
Cell lengths 15.1709, 2.8631, 7.7119 Å; angles 90.00, 104.88, 90.00 degrees
Space group Cm (No. 8)
Asymmetric unit:
Cu 0.0000 0.0000 0.0000
Cu 0.0862 0.5000 0.2685
Cu 0.2767 0.5000 0.8731
Ag 0.0833 0.5000 0.7842
Ag 0.1853 0.0000 0.5735
Ag 0.1888 0.0000 0.0866
Ag 0.2955 0.5000 0.3879
Ag 0.3875 0.0000 0.1453
Ag 0.3890 0.0000 0.7170
Ag 0.4887 0.5000 0.4641

# Cu3Ag7
Calculated XRD peak list, a wavelength of 1.5418 Å. Input: a crystal structure in OQMD, relaxed with GGA-PBE.
Kinematic intensities with the Lorentz-polarization factor, no thermal factor.

The 10 most intense peaks (2θ from 10° to 90°), in order of falling intensity:
38.92 deg, rel. 100; 38.80 deg, rel. 33; 44.97 deg, rel. 22; 45.19 deg, rel. 22; 45.46 deg, rel. 20; 65.86 deg, rel. 12; 78.89 deg, rel. 11; 79.26 deg, rel. 7; 65.71 deg, rel. 7; 65.61 deg, rel. 7

Crystal structure
Cell lengths 4.9163, 4.9218, 13.5608 Å; angles 87.10, 86.72, 80.40 degrees
Space group P1 (No. 1)
Asymmetric unit:
Cu 0.0000 0.0000 0.0000
Cu 0.0108 0.5889 0.3904
Cu 0.5037 0.4912 0.4857
Cu 0.5168 0.8767 0.0911
Cu 0.7510 0.3370 0.1332
Cu 0.7641 0.5426 0.9554
Ag 0.0034 0.3925 0.5845
Ag 0.0097 0.1954 0.8027
Ag 0.2555 0.8352 0.6416
Ag 0.2564 0.4413 0.0442
Ag 0.2577 0.0377 0.4382
Ag 0.2584 0.6454 0.8519
Ag 0.2596 0.2388 0.2363
Ag 0.5074 0.2893 0.6914
Ag 0.5088 0.6831 0.2895
Ag 0.5229 0.0809 0.9055
Ag 0.7504 0.9330 0.5367
Ag 0.7584 0.7375 0.7485
Ag 0.7632 0.1488 0.3390
Ag 0.9951 0.7965 0.1865

# Cu3Ag2
Calculated XRD peak list, a wavelength of 1.5418 Å. Input: a crystal structure in OQMD, relaxed with GGA-PBE.
Kinematic intensities with the Lorentz-polarization factor, no thermal factor.

The 10 most intense peaks (2θ from 10° to 90°), in order of falling intensity:
40.79 deg, rel. 100; 45.15 deg, rel. 51; 80.36 deg, rel. 27; 37.68 deg, rel. 19; 65.76 deg, rel. 15; 44.35 deg, rel. 11; 35.09 deg, rel. 10; 66.69 deg, rel. 6; 72.41 deg, rel. 6; 71.15 deg, rel. 6

Crystal structure
Cell lengths 2.8400, 2.8400, 17.6352 Å; angles 90.00, 90.00, 90.00 degrees
Space group P4mm (No. 99)
Asymmetric unit:
Cu 0.0000 0.0000 0.0000
Cu 0.0000 0.0000 0.1681
Cu 0.0000 0.0000 0.6220
Cu 0.5000 0.5000 0.0840
Cu 0.5000 0.5000 0.7060
Cu 0.5000 0.5000 0.9159
Ag 0.0000 0.0000 0.3952
Ag 0.0000 0.0000 0.8110
Ag 0.5000 0.5000 0.2728
Ag 0.5000 0.5000 0.5175

# CuAg7
Calculated XRD peak list, a wavelength of 1.5418 Å. Input: a crystal structure in OQMD, relaxed with GGA-PBE.
Kinematic intensities with the Lorentz-polarization factor, no thermal factor.

The 10 most intense peaks (2θ from 10° to 90°), in order of falling intensity:
38.01 deg, rel. 100; 44.14 deg, rel. 43; 38.11 deg, rel. 33; 44.32 deg, rel. 21; 64.30 deg, rel. 20; 77.04 deg, rel. 15; 64.39 deg, rel. 13; 77.28 deg, rel. 11; 77.16 deg, rel. 8; 77.36 deg, rel. 8

Crystal structure
Cell lengths 5.0127, 5.0140, 5.8130 Å; angles 90.05, 106.84, 99.73 degrees
Space group P-1 (No. 2)
Asymmetric unit:
Cu 0.0000 0.0000 0.0000
Ag 0.0000 0.0000 0.5000
Ag 0.0004 0.4983 0.7549
Ag 0.4917 0.2490 0.3700
Ag 0.4982 0.2438 0.8770

# Cu6Ag
Calculated XRD peak list, a wavelength of 1.5418 Å. Input: a crystal structure in OQMD, relaxed with GGA-PBE.
Kinematic intensities with the Lorentz-polarization factor, no thermal factor.

The 10 most intense peaks (2θ from 10° to 90°), in order of falling intensity:
42.31 deg, rel. 100; 49.33 deg, rel. 31; 49.11 deg, rel. 16; 72.14 deg, rel. 14; 87.51 deg, rel. 11; 87.58 deg, rel. 11; 72.34 deg, rel. 9; 87.15 deg, rel. 5; 87.26 deg, rel. 5; 72.23 deg, rel. 4

Crystal structure
Cell lengths 8.2760, 3.6937, 5.8610 Å; angles 90.00, 98.36, 90.00 degrees
Space group C2/m (No. 12)
Asymmetric unit:
Cu 0.0741 0.0000 0.2039
Cu 0.1449 0.5000 0.9361
Cu 0.2165 0.0000 0.6515
Ag 0.0000 0.5000 0.5000

# Cu3Ag2
Calculated XRD peak list, a wavelength of 1.5418 Å. Input: a crystal structure in OQMD, relaxed with GGA-PBE.
Kinematic intensities with the Lorentz-polarization factor, no thermal factor.

The 10 most intense peaks (2θ from 10° to 90°), in order of falling intensity:
40.58 deg, rel. 100; 47.62 deg, rel. 30; 83.82 deg, rel. 19; 68.65 deg, rel. 19; 46.37 deg, rel. 17; 81.98 deg, rel. 11; 87.82 deg, rel. 9; 69.63 deg, rel. 8; 33.17 deg, rel. 5; 30.98 deg, rel. 4

Crystal structure
Cell lengths 6.0390, 6.0390, 3.9161 Å; angles 90.00, 90.00, 90.00 degrees
Space group P4_2/m (No. 84)
Asymmetric unit:
Cu 0.0000 0.5000 0.0000
Cu 0.1032 0.1793 0.5000
Ag 0.2794 0.6052 0.5000

# Cu4Ag5
Calculated XRD peak list, a wavelength of 1.5418 Å. Input: a crystal structure in OQMD, relaxed with GGA-PBE.
Kinematic intensities with the Lorentz-polarization factor, no thermal factor.

The 10 most intense peaks (2θ from 10° to 90°), in order of falling intensity:
39.34 deg, rel. 100; 46.07 deg, rel. 61; 40.43 deg, rel. 30; 80.74 deg, rel. 21; 66.44 deg, rel. 19; 67.95 deg, rel. 17; 80.04 deg, rel. 11; 84.64 deg, rel. 10; 82.15 deg, rel. 9; 22.13 deg, rel. 5

Crystal structure
Cell lengths 2.8142, 2.8142, 20.0802 Å; angles 90.00, 90.00, 120.00 degrees
Space group P-3m1 (No. 164)
Asymmetric unit:
Cu 0.0000 0.0000 0.1701
Cu 0.3333 0.6667 0.3897
Ag 0.0000 0.0000 0.5000
Ag 0.3333 0.6667 0.0613
Ag 0.3333 0.6667 0.7202

# Cu3Ag2
Calculated XRD peak list, a wavelength of 1.5418 Å. Input: a crystal structure in OQMD, relaxed with GGA-PBE.
Kinematic intensities with the Lorentz-polarization factor, no thermal factor.

The 10 most intense peaks (2θ from 10° to 90°), in order of falling intensity:
40.48 deg, rel. 100; 40.61 deg, rel. 99; 46.66 deg, rel. 32; 47.78 deg, rel. 30; 47.06 deg, rel. 30; 69.00 deg, rel. 19; 69.32 deg, rel. 18; 82.26 deg, rel. 11; 84.08 deg, rel. 11; 84.00 deg, rel. 11

Crystal structure
Cell lengths 8.7070, 3.8072, 8.6347 Å; angles 90.00, 90.22, 90.00 degrees
Space group Cm (No. 8)
Asymmetric unit:
Cu 0.0000 0.0000 0.0000
Cu 0.0006 0.5000 0.5160
Cu 0.2076 0.5000 0.9008
Cu 0.3124 0.5000 0.6147
Cu 0.4049 0.0000 0.8048
Cu 0.4085 0.5000 0.3189
Ag 0.0989 0.5000 0.2074
Ag 0.1049 0.0000 0.7153
Ag 0.2109 0.0000 0.4164
Ag 0.3039 0.0000 0.0951

# Cu9Ag11
Calculated XRD peak list, a wavelength of 1.5418 Å. Input: a crystal structure in OQMD, relaxed with GGA-PBE.
Kinematic intensities with the Lorentz-polarization factor, no thermal factor.

The 10 most intense peaks (2θ from 10° to 90°), in order of falling intensity:
39.66 deg, rel. 100; 39.55 deg, rel. 54; 39.87 deg, rel. 49; 45.63 deg, rel. 34; 46.17 deg, rel. 32; 46.65 deg, rel. 27; 80.14 deg, rel. 12; 66.67 deg, rel. 10; 67.19 deg, rel. 10; 67.24 deg, rel. 9

Crystal structure
Cell lengths 4.8268, 5.6115, 12.0217 Å; angles 90.04, 100.81, 107.53 degrees
Space group P1 (No. 1)
Asymmetric unit:
Cu 0.0000 0.0000 0.0000
Cu 0.0015 0.4739 0.9974
Cu 0.2285 0.0476 0.7037
Cu 0.2326 0.2950 0.1779
Cu 0.4302 0.0977 0.3920
Cu 0.6065 0.3822 0.5998
Cu 0.6358 0.6363 0.0905
Cu 0.6419 0.1549 0.0925
Cu 0.8055 0.1905 0.8026
Ag 0.0207 0.7440 0.4983
Ag 0.0219 0.2393 0.4952
Ag 0.2021 0.5268 0.6993
Ag 0.2427 0.7982 0.1787
Ag 0.3992 0.3307 0.9040
Ag 0.4130 0.8423 0.9091
Ag 0.4224 0.5905 0.3904
Ag 0.6213 0.9054 0.6038
Ag 0.8145 0.4367 0.2826
Ag 0.8182 0.6937 0.8035
Ag 0.8475 0.9517 0.2853

# Cu3Ag2
Calculated XRD peak list, a wavelength of 1.5418 Å. Input: a crystal structure in OQMD, relaxed with GGA-PBE.
Kinematic intensities with the Lorentz-polarization factor, no thermal factor.

The 10 most intense peaks (2θ from 10° to 90°), in order of falling intensity:
40.56 deg, rel. 100; 46.86 deg, rel. 17; 47.63 deg, rel. 16; 47.05 deg, rel. 15; 82.68 deg, rel. 11; 83.83 deg, rel. 11; 82.97 deg, rel. 10; 69.04 deg, rel. 10; 87.76 deg, rel. 9; 68.58 deg, rel. 9

Crystal structure
Cell lengths 3.8778, 19.3126, 3.8184 Å; angles 90.00, 90.00, 90.00 degrees
Space group Cmmm (No. 65)
Asymmetric unit:
Cu 0.0000 0.0000 0.0000
Cu 0.0000 0.0924 0.5000
Cu 0.0000 0.3019 0.5000
Cu 0.0000 0.5000 0.5000
Ag 0.0000 0.1981 0.0000
Ag 0.0000 0.4055 0.0000

# Cu3Ag5
Calculated XRD peak list, a wavelength of 1.5418 Å. Input: a crystal structure in OQMD, relaxed with GGA-PBE.
Kinematic intensities with the Lorentz-polarization factor, no thermal factor.

The 10 most intense peaks (2θ from 10° to 90°), in order of falling intensity:
39.41 deg, rel. 100; 39.03 deg, rel. 100; 44.35 deg, rel. 66; 67.43 deg, rel. 35; 48.03 deg, rel. 28; 78.55 deg, rel. 23; 77.80 deg, rel. 19; 65.07 deg, rel. 10; 83.69 deg, rel. 10; 84.82 deg, rel. 10

Crystal structure
Cell lengths 2.8671, 3.7883, 11.6428 Å; angles 90.00, 90.00, 90.00 degrees
Space group Pmm2 (No. 25)
Asymmetric unit:
Cu 0.0000 0.0000 0.0000
Cu 0.0000 0.0000 0.4849
Cu 0.5000 0.5000 0.3775
Ag 0.0000 0.0000 0.2578
Ag 0.0000 0.0000 0.7416
Ag 0.5000 0.5000 0.1210
Ag 0.5000 0.5000 0.6038
Ag 0.5000 0.5000 0.8792

# Cu3Ag5
Calculated XRD peak list, a wavelength of 1.5418 Å. Input: a crystal structure in OQMD, relaxed with GGA-PBE.
Kinematic intensities with the Lorentz-polarization factor, no thermal factor.

The 10 most intense peaks (2θ from 10° to 90°), in order of falling intensity:
39.90 deg, rel. 100; 38.87 deg, rel. 100; 43.73 deg, rel. 74; 68.35 deg, rel. 30; 78.41 deg, rel. 23; 49.73 deg, rel. 23; 76.39 deg, rel. 20; 62.09 deg, rel. 15; 65.02 deg, rel. 11; 86.06 deg, rel. 9

Crystal structure
Cell lengths 2.8689, 7.3331, 11.9588 Å; angles 90.00, 90.00, 90.00 degrees
Space group Amm2 (No. 38)
Asymmetric unit:
Cu 0.0000 0.0000 0.0000
Cu 0.5000 0.2370 0.9012
Ag 0.0000 0.0000 0.2908
Ag 0.0000 0.0000 0.5216
Ag 0.0000 0.0000 0.7703
Ag 0.5000 0.2220 0.1382

# CuAg7
Calculated XRD peak list, a wavelength of 1.5418 Å. Input: a crystal structure in OQMD, relaxed with GGA-PBE.
Kinematic intensities with the Lorentz-polarization factor, no thermal factor.

The 10 most intense peaks (2θ from 10° to 90°), in order of falling intensity:
37.95 deg, rel. 100; 44.10 deg, rel. 48; 64.16 deg, rel. 25; 77.06 deg, rel. 23; 76.92 deg, rel. 11; 81.20 deg, rel. 5; 81.05 deg, rel. 5; 64.02 deg, rel. 5; 24.22 deg, rel. 1; 18.73 deg, rel. 1

Crystal structure
Cell lengths 5.8043, 8.2050, 5.8178 Å; angles 90.00, 90.00, 90.00 degrees
Space group Cmmm (No. 65)
Asymmetric unit:
Cu 0.0000 0.0000 0.0000
Ag 0.0000 0.0000 0.5000
Ag 0.0000 0.5000 0.0000
Ag 0.0000 0.5000 0.5000
Ag 0.2500 0.2500 0.2458